Record 1
Computed X-ray powder pattern
Compound: HfTaNi6
Radiation: Cu Kα
Structure: a GGA-PBE-relaxed structure
Peak positions follow from Bragg's law for the DFT cell and can differ from measured ones.

Structure:
```
data_HfTaNi6
_chemical_formula_sum 'Hf1 Ta1 Ni6'
_cell_length_a 5.205
_cell_length_b 5.205
_cell_length_c 4.306
_cell_angle_alpha 90.00
_cell_angle_beta 90.00
_cell_angle_gamma 120.00
_symmetry_space_group_name_H-M 'P 1'
_symmetry_Int_Tables_number 1
_symmetry_space_group_name_Hall 'P 1'
loop_
_atom_site_label
_atom_site_type_symbol
_atom_site_fract_x
_atom_site_fract_y
_atom_site_fract_z
_atom_site_occupancy
Hf1 Hf 0.000 0.000 0.000 1
Ta1 Ta 0.667 0.333 0.500 1
Ni1 Ni 0.008 0.504 0.000 1
Ni2 Ni 0.175 0.349 0.500 1
Ni3 Ni 0.175 0.825 0.500 1
Ni4 Ni 0.496 0.504 0.000 1
Ni5 Ni 0.496 0.992 0.000 1
Ni6 Ni 0.651 0.825 0.500 1
```

Main lines, by angle (15° ≤ 2θ ≤ 90°):
2θ = 28.67°, I = 347; 2θ = 34.46°, I = 133; 2θ = 40.00°, I = 241; 2θ = 41.96°, I = 282; 2θ = 45.42°, I = 1000; 2θ = 59.36°, I = 146; 2θ = 72.66°, I = 155; 2θ = 79.10°, I = 185; 2θ = 87.61°, I = 191; 2θ = 90.00°, I = 135

---

Record 2
Computed X-ray powder pattern
Compound: Tb2HfNi9
Radiation: Cu Kα
Structure: a GGA-PBE-relaxed structure
Peak positions follow from Bragg's law for the DFT cell and can differ from measured ones.

Structure:
```
data_Tb2HfNi9
_chemical_formula_sum 'Tb2 Hf1 Ni9'
_cell_length_a 8.633
_cell_length_b 8.633
_cell_length_c 8.633
_cell_angle_alpha 32.83
_cell_angle_beta 32.83
_cell_angle_gamma 32.83
_symmetry_space_group_name_H-M 'P 1'
_symmetry_Int_Tables_number 1
_symmetry_space_group_name_Hall 'P 1'
loop_
_atom_site_label
_atom_site_type_symbol
_atom_site_fract_x
_atom_site_fract_y
_atom_site_fract_z
_atom_site_occupancy
Tb1 Tb 0.137 0.137 0.137 1
Tb2 Tb 0.863 0.863 0.863 1
Hf1 Hf 0.000 0.000 0.000 1
Ni1 Ni 0.080 0.581 0.581 1
Ni2 Ni 0.333 0.333 0.333 1
Ni3 Ni 0.419 0.419 0.920 1
Ni4 Ni 0.419 0.920 0.419 1
Ni5 Ni 0.500 0.500 0.500 1
Ni6 Ni 0.581 0.080 0.581 1
Ni7 Ni 0.581 0.581 0.080 1
Ni8 Ni 0.667 0.667 0.667 1
Ni9 Ni 0.920 0.419 0.419 1
```

Main lines, by angle (15° ≤ 2θ ≤ 90°):
2θ = 33.26°, I = 559; 2θ = 36.25°, I = 530; 2θ = 36.85°, I = 593; 2θ = 42.97°, I = 436; 2θ = 43.21°, I = 1000; 2θ = 64.11°, I = 171; 2θ = 65.99°, I = 181; 2θ = 69.27°, I = 152; 2θ = 70.77°, I = 219; 2θ = 78.41°, I = 229

---

Record 3
Computed X-ray powder pattern
Compound: Hf2Tc3Ni
Radiation: Cu Kα
Structure: a GGA-PBE-relaxed structure
Peak positions follow from Bragg's law for the DFT cell and can differ from measured ones.

Structure:
```
data_Hf2Tc3Ni
_chemical_formula_sum 'Hf2 Tc3 Ni1'
_cell_length_a 5.222
_cell_length_b 5.222
_cell_length_c 5.222
_cell_angle_alpha 58.69
_cell_angle_beta 58.69
_cell_angle_gamma 58.69
_symmetry_space_group_name_H-M 'P 1'
_symmetry_Int_Tables_number 1
_symmetry_space_group_name_Hall 'P 1'
loop_
_atom_site_label
_atom_site_type_symbol
_atom_site_fract_x
_atom_site_fract_y
_atom_site_fract_z
_atom_site_occupancy
Hf1 Hf 0.122 0.122 0.122 1
Hf2 Hf 0.878 0.878 0.878 1
Tc1 Tc 0.000 0.500 0.500 1
Tc2 Tc 0.500 0.000 0.500 1
Tc3 Tc 0.500 0.500 0.000 1
Ni1 Ni 0.500 0.500 0.500 1
```

Main lines, by angle (15° ≤ 2θ ≤ 90°):
2θ = 34.36°, I = 753; 2θ = 35.07°, I = 478; 2θ = 40.42°, I = 610; 2θ = 41.03°, I = 1000; 2θ = 41.34°, I = 727; 2θ = 43.16°, I = 381; 2θ = 62.46°, I = 274; 2θ = 66.53°, I = 275; 2θ = 72.43°, I = 289; 2θ = 74.11°, I = 273

---

Record 4
Computed X-ray powder pattern
Compound: Hf5Tc4Ni
Radiation: Cu Kα
Structure: a GGA-PBE-relaxed structure
Peak positions follow from Bragg's law for the DFT cell and can differ from measured ones.

Structure:
```
data_Hf5Tc4Ni
_chemical_formula_sum 'Hf5 Tc4 Ni1'
_cell_length_a 3.268
_cell_length_b 3.268
_cell_length_c 16.112
_cell_angle_alpha 90.00
_cell_angle_beta 90.00
_cell_angle_gamma 90.00
_symmetry_space_group_name_H-M 'P 1'
_symmetry_Int_Tables_number 1
_symmetry_space_group_name_Hall 'P 1'
loop_
_atom_site_label
_atom_site_type_symbol
_atom_site_fract_x
_atom_site_fract_y
_atom_site_fract_z
_atom_site_occupancy
Hf1 Hf 0.000 0.000 0.000 1
Hf2 Hf 0.000 0.000 0.203 1
Hf3 Hf 0.000 0.000 0.401 1
Hf4 Hf 0.000 0.000 0.599 1
Hf5 Hf 0.000 0.000 0.797 1
Tc1 Tc 0.500 0.500 0.102 1
Tc2 Tc 0.500 0.500 0.307 1
Tc3 Tc 0.500 0.500 0.693 1
Tc4 Tc 0.500 0.500 0.898 1
Ni1 Ni 0.500 0.500 0.500 1
```

Main lines, by angle (15° ≤ 2θ ≤ 90°):
2θ = 27.29°, I = 119; 2θ = 27.68°, I = 58; 2θ = 38.97°, I = 515; 2θ = 39.26°, I = 1000; 2θ = 56.30°, I = 176; 2θ = 57.17°, I = 81; 2θ = 70.78°, I = 349; 2θ = 71.36°, I = 166; 2θ = 83.70°, I = 57; 2θ = 84.43°, I = 107

---

Record 5
Computed X-ray powder pattern
Compound: Hf2TiNi2
Radiation: Cu Kα
Structure: a GGA-PBE-relaxed structure
Peak positions follow from Bragg's law for the DFT cell and can differ from measured ones.

Structure:
```
data_Hf2TiNi2
_chemical_formula_sum 'Hf4 Ti2 Ni4'
_cell_length_a 7.176
_cell_length_b 7.176
_cell_length_c 3.218
_cell_angle_alpha 90.00
_cell_angle_beta 90.00
_cell_angle_gamma 90.00
_symmetry_space_group_name_H-M 'P 1'
_symmetry_Int_Tables_number 1
_symmetry_space_group_name_Hall 'P 1'
loop_
_atom_site_label
_atom_site_type_symbol
_atom_site_fract_x
_atom_site_fract_y
_atom_site_fract_z
_atom_site_occupancy
Hf1 Hf 0.170 0.330 0.000 1
Hf2 Hf 0.330 0.830 0.000 1
Hf3 Hf 0.670 0.170 0.000 1
Hf4 Hf 0.830 0.670 0.000 1
Ti1 Ti 0.000 0.000 0.500 1
Ti2 Ti 0.500 0.500 0.500 1
Ni1 Ni 0.126 0.626 0.500 1
Ni2 Ni 0.374 0.126 0.500 1
Ni3 Ni 0.626 0.874 0.500 1
Ni4 Ni 0.874 0.374 0.500 1
```

Main lines, by angle (15° ≤ 2θ ≤ 90°):
2θ = 17.48°, I = 111; 2θ = 24.81°, I = 105; 2θ = 27.78°, I = 271; 2θ = 37.54°, I = 196; 2θ = 39.68°, I = 1000; 2θ = 52.58°, I = 105; 2θ = 54.22°, I = 97; 2θ = 60.47°, I = 143; 2θ = 61.98°, I = 90; 2θ = 77.54°, I = 109

---

Record 6
Computed X-ray powder pattern
Compound: HfTi2Ni6
Radiation: Cu Kα
Structure: a GGA-PBE-relaxed structure
Peak positions follow from Bragg's law for the DFT cell and can differ from measured ones.

Structure:
```
data_HfTi2Ni6
_chemical_formula_sum 'Hf1 Ti2 Ni6'
_cell_length_a 5.029
_cell_length_b 5.029
_cell_length_c 5.644
_cell_angle_alpha 90.00
_cell_angle_beta 90.00
_cell_angle_gamma 120.00
_symmetry_space_group_name_H-M 'P 1'
_symmetry_Int_Tables_number 1
_symmetry_space_group_name_Hall 'P 1'
loop_
_atom_site_label
_atom_site_type_symbol
_atom_site_fract_x
_atom_site_fract_y
_atom_site_fract_z
_atom_site_occupancy
Hf1 Hf 0.000 0.000 0.000 1
Ti1 Ti 0.333 0.667 0.182 1
Ti2 Ti 0.667 0.333 0.818 1
Ni1 Ni 0.177 0.354 0.666 1
Ni2 Ni 0.177 0.823 0.666 1
Ni3 Ni 0.354 0.177 0.334 1
Ni4 Ni 0.646 0.823 0.666 1
Ni5 Ni 0.823 0.177 0.334 1
Ni6 Ni 0.823 0.646 0.334 1
```

Main lines, by angle (15° ≤ 2θ ≤ 90°):
2θ = 20.39°, I = 528; 2θ = 25.84°, I = 450; 2θ = 38.00°, I = 545; 2θ = 39.22°, I = 581; 2θ = 44.60°, I = 1000; 2θ = 48.38°, I = 154; 2θ = 53.09°, I = 639; 2θ = 55.85°, I = 167; 2θ = 75.64°, I = 202; 2θ = 76.97°, I = 229

---

Record 7
Computed X-ray powder pattern
Compound: HfTlNi
Radiation: Cu Kα
Structure: a GGA-PBE-relaxed structure
Peak positions follow from Bragg's law for the DFT cell and can differ from measured ones.

Structure:
```
data_HfTlNi
_chemical_formula_sum 'Hf6 Tl6 Ni6'
_cell_length_a 6.219
_cell_length_b 6.219
_cell_length_c 11.003
_cell_angle_alpha 90.00
_cell_angle_beta 90.00
_cell_angle_gamma 120.00
_symmetry_space_group_name_H-M 'P 1'
_symmetry_Int_Tables_number 1
_symmetry_space_group_name_Hall 'P 1'
loop_
_atom_site_label
_atom_site_type_symbol
_atom_site_fract_x
_atom_site_fract_y
_atom_site_fract_z
_atom_site_occupancy
Hf1 Hf 0.000 0.500 0.380 1
Hf2 Hf 0.000 0.500 0.954 1
Hf3 Hf 0.500 0.000 0.287 1
Hf4 Hf 0.500 0.000 0.713 1
Hf5 Hf 0.500 0.500 0.046 1
Hf6 Hf 0.500 0.500 0.620 1
Tl1 Tl 0.000 0.000 0.167 1
Tl2 Tl 0.000 0.000 0.500 1
Tl3 Tl 0.000 0.000 0.833 1
Tl4 Tl 0.000 0.500 0.667 1
Tl5 Tl 0.500 0.000 0.000 1
Tl6 Tl 0.500 0.500 0.333 1
Ni1 Ni 0.220 0.610 0.167 1
Ni2 Ni 0.390 0.610 0.833 1
Ni3 Ni 0.390 0.780 0.500 1
Ni4 Ni 0.610 0.220 0.500 1
Ni5 Ni 0.610 0.390 0.833 1
Ni6 Ni 0.780 0.390 0.167 1
```

Main lines, by angle (15° ≤ 2θ ≤ 90°):
2θ = 29.46°, I = 411; 2θ = 33.27°, I = 1000; 2θ = 36.68°, I = 289; 2θ = 37.93°, I = 486; 2θ = 41.60°, I = 129; 2θ = 43.95°, I = 155; 2θ = 51.33°, I = 219; 2θ = 59.45°, I = 205; 2θ = 67.73°, I = 146; 2θ = 76.58°, I = 119

---

Record 8
Computed X-ray powder pattern
Compound: Hf6TlNi6
Radiation: Cu Kα
Structure: a GGA-PBE-relaxed structure
Peak positions follow from Bragg's law for the DFT cell and can differ from measured ones.

Structure:
```
data_Hf6TlNi6
_chemical_formula_sum 'Hf6 Tl1 Ni6'
_cell_length_a 6.975
_cell_length_b 6.975
_cell_length_c 6.975
_cell_angle_alpha 136.81
_cell_angle_beta 99.01
_cell_angle_gamma 96.56
_symmetry_space_group_name_H-M 'P 1'
_symmetry_Int_Tables_number 1
_symmetry_space_group_name_Hall 'P 1'
loop_
_atom_site_label
_atom_site_type_symbol
_atom_site_fract_x
_atom_site_fract_y
_atom_site_fract_z
_atom_site_occupancy
Hf1 Hf 0.156 0.500 0.656 1
Hf2 Hf 0.162 0.162 0.000 1
Hf3 Hf 0.320 0.000 0.320 1
Hf4 Hf 0.680 0.000 0.680 1
Hf5 Hf 0.838 0.838 0.000 1
Hf6 Hf 0.844 0.500 0.344 1
Tl1 Tl 0.500 0.500 0.000 1
Ni1 Ni 0.000 0.000 0.500 1
Ni2 Ni 0.000 0.500 0.000 1
Ni3 Ni 0.260 0.760 0.500 1
Ni4 Ni 0.500 0.000 0.000 1
Ni5 Ni 0.500 0.500 0.500 1
Ni6 Ni 0.740 0.240 0.500 1
```

Main lines, by angle (15° ≤ 2θ ≤ 90°):
2θ = 30.53°, I = 259; 2θ = 33.82°, I = 282; 2θ = 34.46°, I = 1000; 2θ = 34.96°, I = 497; 2θ = 38.80°, I = 345; 2θ = 39.39°, I = 499; 2θ = 39.71°, I = 820; 2θ = 40.14°, I = 416; 2θ = 45.05°, I = 380; 2θ = 70.85°, I = 372